This entry pairs a crystal structure of CrF4 with its simulated powder diffraction line list. Radiation: λ = 1.5418 Å (Cu Kα). Structure: a crystal structure in the Materials Project, relaxed with GGA+U.
Neutral-atom scattering factors, no anomalous dispersion.

Lattice parameters (Å, degrees): 5.505 5.505 6.394 114.65 115.36 90.13
Space group P1 (No. 1)
Unique sites:
Cr  0.000  0.000  0.000
Cr  0.496  0.500  0.000
F  0.046  0.710  0.764
F  0.215  0.211  0.766
F  0.287  0.957  0.241
F  0.450  0.458  0.243
F  0.541  0.543  0.757
F  0.711  0.042  0.759
F  0.782  0.784  0.235
F  0.951  0.287  0.238

Most intense lines, 2θ from 5° to 70°, low angle first:
(hkl)  d_spacing  Position (°2θ)  I_rel
0 0 1  5.123  17.31  63
1 1 -1  3.892  22.85  100
-1 1 1  3.116  28.65  30
1 1 -2  3.083  28.96  30
2 0 0  2.425  37.08  13
0 2 -2  2.406  37.37  10
2 1 -1  2.398  37.50  12
1 -2 1  2.389  37.65  13
2 0 -3  1.875  48.55  17
0 2 -3  1.861  48.96  9